[1]
# CsLiEr2Br8
Simulated X-ray powder pattern, λ = 1.5418 Å (Cu Kα). Input: a DFT-relaxed cell (GGA-PBE, Alexandria).
No peak broadening, texture or thermal motion is included.

Principal peaks in the range 2θ from 15° to 90°, in order of rising 2θ:
d 5.613, 15.8°, intensity 100, (1 1 0); d 4.677, 19.0°, intensity 37, (1 -1 0); d 3.723, 23.9°, intensity 42, (1 0 -2); d 3.442, 25.9°, intensity 56, (1 1 -2); d 3.009, 29.7°, intensity 42, (1 -2 0); d 2.720, 32.9°, intensity 25, (1 2 2); d 2.713, 33.0°, intensity 100, (2 1 -2); d 2.470, 36.4°, intensity 33, (2 -1 2); d 2.338, 38.5°, intensity 21, (2 -2 0); d 2.179, 41.4°, intensity 37, (0 0 4); d 2.107, 42.9°, intensity 28, (0 3 2); d 1.931, 47.1°, intensity 23, (-3 1 2)

Cell and atoms:
```
data_CsLiEr2Br8
_cell_length_a 7.283
_cell_length_b 7.330
_cell_length_c 8.715
_cell_angle_alpha 89.89
_cell_angle_beta 89.96
_cell_angle_gamma 79.60
_symmetry_space_group_name_H-M 'P -1'
_symmetry_Int_Tables_number 2
loop_
_symmetry_equiv_pos_as_xyz
'x,y,z'
'-x,-y,-z'
loop_
_atom_site_label
_atom_site_fract_x
_atom_site_fract_y
_atom_site_fract_z
Cs1 0.000 0.000 0.000
Li1 0.000 0.000 0.500
Er1 0.500 0.500 0.262
Br1 0.273 0.839 0.705
Br2 0.275 0.840 0.294
Br3 0.284 0.382 0.500
Br4 0.297 0.395 0.001
```



[2]
# Cs2SrErBr6
Simulated X-ray powder pattern, λ = 1.5418 Å (Cu Kα). Input: a DFT-relaxed cell (GGA-PBE, Alexandria).
No peak broadening, texture or thermal motion is included.

Principal peaks in the range 2θ from 15° to 90°, in order of rising 2θ:
d 5.839, 15.2°, intensity 14, (1 1 0); d 4.129, 21.5°, intensity 59, (2 0 0); d 3.371, 26.4°, intensity 48, (2 0 2); d 2.919, 30.6°, intensity 100, (2 2 0); d 2.384, 37.7°, intensity 27, (3 1 2); d 2.064, 43.9°, intensity 73, (4 0 0); d 1.846, 49.4°, intensity 14, (4 2 0); d 1.760, 51.9°, intensity 20, (4 2 2); d 1.685, 54.4°, intensity 25, (4 0 4); d 1.560, 59.2°, intensity 15, (5 1 2); d 1.306, 72.4°, intensity 32, (6 2 0); d 1.192, 80.6°, intensity 24, (6 2 4)

Cell and atoms:
```
data_Cs2SrErBr6
_cell_length_a 8.251
_cell_length_b 8.262
_cell_length_c 11.678
_cell_angle_alpha 90.00
_cell_angle_beta 90.00
_cell_angle_gamma 90.00
_symmetry_space_group_name_H-M 'I m m m'
_symmetry_Int_Tables_number 71
_symmetry_space_group_name_Hall '-I 2 2'
loop_
_atom_site_label
_atom_site_fract_x
_atom_site_fract_y
_atom_site_fract_z
Cs1 0.000 0.000 0.249
Sr1 0.000 0.500 0.000
Er1 0.000 0.500 0.500
Br1 0.000 0.500 0.259
Br2 0.241 0.259 0.500
```



[3]
# CsErTa6Br18
Simulated X-ray powder pattern, λ = 1.5418 Å (Cu Kα). Input: a DFT-relaxed cell (GGA-PBE, Alexandria).
No peak broadening, texture or thermal motion is included.

Principal peaks in the range 2θ from 15° to 90°, in order of rising 2θ:
d 4.373, 20.3°, intensity 24, (1 1 2); d 3.252, 27.4°, intensity 22, (2 1 0); d 2.874, 31.1°, intensity 57, (3 -1 3); d 2.738, 32.7°, intensity 22, (3 0 2); d 2.657, 33.7°, intensity 100, (3 -1 4); d 2.613, 34.3°, intensity 30, (1 1 6); d 2.438, 36.9°, intensity 35, (3 -1 5); d 2.233, 40.4°, intensity 30, (3 -1 6); d 2.226, 40.5°, intensity 40, (1 0 8); d 2.186, 41.3°, intensity 30, (4 -2 4); d 1.879, 48.4°, intensity 43, (4 1 0); d 1.868, 48.8°, intensity 32, (4 1 1)

Cell and atoms:
```
data_CsErTa6Br18
_cell_length_a 9.9341
_cell_length_b 9.9341
_cell_length_c 18.4377
_cell_angle_alpha 90.00
_cell_angle_beta 90.00
_cell_angle_gamma 120.00
_symmetry_space_group_name_H-M 'P -3 1 c'
_symmetry_Int_Tables_number 163
_symmetry_space_group_name_Hall '-P 3 2c'
loop_
_atom_site_label
_atom_site_fract_x
_atom_site_fract_y
_atom_site_fract_z
Cs1 0.3333 0.6667 0.2500
Er1 0.3333 0.6667 0.7500
Ta1 0.0396 0.1855 0.5643
Br1 0.0483 0.2317 0.3401
Br2 0.0896 0.4476 0.6620
Br3 0.1349 0.4137 0.0007
```



[4]
# Cs4BrF3
Simulated X-ray powder pattern, λ = 1.5418 Å (Cu Kα). Input: a DFT-relaxed cell (GGA-PBE, Alexandria).
No peak broadening, texture or thermal motion is included.

Principal peaks in the range 2θ from 15° to 90°, in order of rising 2θ:
d 3.900, 22.8°, intensity 10, (0 0 4); d 3.412, 26.1°, intensity 100, (1 0 2); d 3.065, 29.1°, intensity 16, (0 1 3); d 2.720, 32.9°, intensity 38, (0 1 4); d 2.191, 41.2°, intensity 33, (1 1 0); d 2.145, 42.1°, intensity 11, (1 0 6); d 1.922, 47.3°, intensity 13, (1 0 7); d 1.910, 47.6°, intensity 8, (1 1 4); d 1.844, 49.4°, intensity 17, (0 2 2); d 1.793, 50.9°, intensity 10, (1 1 5); d 1.706, 53.7°, intensity 9, (2 0 4); d 1.411, 66.3°, intensity 14, (2 1 2)

Cell and atoms:
```
data_Cs4BrF3
_cell_length_a 4.3818
_cell_length_b 4.3818
_cell_length_c 15.6012
_cell_angle_alpha 90.00
_cell_angle_beta 90.00
_cell_angle_gamma 120.00
_symmetry_space_group_name_H-M 'P -3 m 1'
_symmetry_Int_Tables_number 164
_symmetry_space_group_name_Hall '-P 3 2"'
loop_
_atom_site_label
_atom_site_fract_x
_atom_site_fract_y
_atom_site_fract_z
Cs1 0.3333 0.6667 0.3414
Cs2 0.3333 0.6667 0.8854
Br1 0.0000 0.0000 0.5000
F1 0.0000 0.0000 0.0000
F2 0.0000 0.0000 0.2292
```